This entry pairs a crystal structure of HoUO5 with its calculated X-ray diffraction stick pattern. Radiation: λ = 1.5418 Å (Cu Kα). Structure: a GGA-PBE-relaxed structure.
Lines closer than 0.1° are merged.

Peak list (10 most intense, 2θ = 15–90°, by angle)
2θ 21.09, I 88
2θ 25.57, I 100
2θ 26.36, I 55
2θ 33.38, I 71
2θ 34.00, I 40
2θ 46.04, I 26
2θ 49.82, I 18
2θ 50.65, I 31
2θ 51.13, I 46
2θ 57.23, I 19

Lattice parameters (Å, degrees): 5.7714 5.7714 5.7714 138.77 108.27 86.25
Sites, in units of the cell vectors:
Ho: 0.0000 0.0000 0.0000
U: 0.5000 0.5000 0.0000
O: 0.0000 0.5000 0.5000
O: 0.2797 0.2797 0.0000
O: 0.3278 0.0000 0.3278
O: 0.6722 0.0000 0.6722
O: 0.7203 0.7203 0.0000